TbFe2: theoretical PXRD pattern (λ = 1.5418 Å (Cu Kα)), based on a DFT-relaxed cell (GGA-PBE, OQMD).
No peak broadening, texture or thermal motion is included.

Main lines, sorted by position (2θ from 10° to 80°):
hkl 1 0 2, d 3.051, intensity 15; hkl 1 1 0, d 2.584, intensity 68; hkl 1 0 3, d 2.361, intensity 96; hkl 2 0 0, d 2.238, intensity 16; hkl 1 1 2, d 2.196, intensity 100; hkl 2 0 1, d 2.161, intensity 54; hkl 2 1 3, d 1.445, intensity 42; hkl 3 0 2, d 1.405, intensity 23; hkl 2 0 5, d 1.337, intensity 27; hkl 2 2 0, d 1.292, intensity 22

Cell and atoms:
```
TbFe2
1.0
5.1676 0.0000 0.0000
-2.5838 4.4753 0.0000
0.0000 0.0000 8.3389
Tb Fe
4 8
Cartesian
0.0000 2.9835 0.5188 Tb
0.0000 2.9835 3.6506 Tb
2.5838 1.4918 4.6883 Tb
2.5838 1.4918 7.8201 Tb
0.0000 0.0000 0.0000 Fe
0.0000 0.0000 4.1695 Fe
0.0000 1.4729 6.2542 Fe
-1.3083 3.7388 6.2542 Fe
1.2755 0.7364 2.0847 Fe
1.3083 3.7388 6.2542 Fe
3.8921 0.7364 2.0847 Fe
2.5838 3.0024 2.0847 Fe
```